Diffraction record for DyGeH2O4. The X-ray powder pattern is theoretical, not measured: it uses a crystal structure in OQMD, relaxed with GGA-PBE and copper Kα.

Largest 12 diffraction maxima, in order of rising 2θ, 2θ from 10° to 90°:
- 18.32°, I 93, (1 0 0)
- 20.88°, I 45, (0 1 2)
- 23.26°, I 97, (1 1 0)
- 25.31°, I 92, (1 1 -2)
- 28.67°, I 92, (0 2 0)
- 30.32°, I 74, (1 1 2)
- 34.00°, I 54, (0 1 4)
- 34.23°, I 37, (1 2 0)
- 35.00°, I 100, (1 1 -4)
- 42.52°, I 27, (0 2 4)
- 46.30°, I 60, (2 1 2)
- 47.12°, I 31, (2 2 -2)

Structure:
abc: 4.992 6.228 11.997
angles: 90.00 104.00 90.00
Sites, in units of the cell vectors:
Dy (0.049, 0.225, 0.339)
Dy (0.049, 0.275, 0.839)
Dy (0.951, 0.725, 0.161)
Dy (0.951, 0.775, 0.661)
Ge (0.291, 0.218, 0.104)
Ge (0.291, 0.282, 0.604)
Ge (0.709, 0.718, 0.396)
Ge (0.709, 0.782, 0.896)
H (0.343, 0.745, 0.507)
H (0.343, 0.755, 0.007)
H (0.480, 0.024, 0.747)
H (0.480, 0.476, 0.247)
H (0.520, 0.524, 0.753)
H (0.520, 0.976, 0.253)
H (0.657, 0.245, 0.993)
H (0.657, 0.255, 0.493)
O (0.042, 0.746, 0.988)
O (0.042, 0.754, 0.488)
O (0.228, 0.005, 0.216)
O (0.228, 0.495, 0.716)
O (0.265, 0.049, 0.717)
O (0.265, 0.451, 0.217)
O (0.443, 0.244, 0.969)
O (0.443, 0.256, 0.469)
O (0.557, 0.744, 0.531)
O (0.557, 0.756, 0.031)
O (0.735, 0.549, 0.783)
O (0.735, 0.951, 0.283)
O (0.772, 0.505, 0.284)
O (0.772, 0.995, 0.784)
O (0.958, 0.246, 0.512)
O (0.958, 0.254, 0.012)